Record 1
K6Au3Br: calculated powder diffraction line list (a wavelength of 1.5418 Å), based on a cell relaxed with PBE.

Crystal structure
Cell lengths 9.7667, 13.7137, 5.7245 Å; angles 90.00, 90.00, 90.00 degrees
Space group Pnnm (No. 58)
One atom of each set of equivalent atoms:
K 0.0219 0.2473 0.0000 x4
K 0.1682 0.0655 0.5000 x4
K 0.1761 0.4049 0.5000 x4
Au 0.0000 0.0000 0.0000 x2
Au 0.1379 0.8077 0.5000 x4
Br 0.0000 0.5000 0.0000 x2

Most intense lines, 15 to 90 degrees two-theta, low angle first:
hkl 1 2 0, 5.612 Å, intensity 33
hkl 1 1 1, 4.647 Å, intensity 44
hkl 2 1 0, 4.600 Å, intensity 33
hkl 1 2 1, 4.007 Å, intensity 77
hkl 0 3 1, 3.575 Å, intensity 51
hkl 1 3 1, 3.355 Å, intensity 36
hkl 0 0 2, 2.862 Å, intensity 60
hkl 3 0 1, 2.830 Å, intensity 100
hkl 1 4 1, 2.816 Å, intensity 35
hkl 2 4 1, 2.520 Å, intensity 34



Record 2
K7AuBr2O2: calculated powder diffraction line list (a wavelength of 1.5418 Å), based on a cell relaxed with PBE.

Crystal structure
Cell lengths 4.7394, 25.0013, 7.0142 Å; angles 90.00, 90.00, 90.00 degrees
Space group Imm2 (No. 44)
One atom of each set of equivalent atoms:
K 0.0000 0.0000 0.0000 x2
K 0.0000 0.0866 0.5532 x4
K 0.0000 0.2059 0.8581 x4
K 0.0000 0.3858 0.5603 x4
Au 0.0000 0.5000 0.8675 x2
Br 0.0000 0.2046 0.3573 x4
O 0.0000 0.1022 0.8984 x4

Most intense lines, 15 to 90 degrees two-theta, low angle first:
hkl 1 3 0, 4.120 Å, intensity 67
hkl 0 5 1, 4.072 Å, intensity 53
hkl 1 2 1, 3.746 Å, intensity 87
hkl 1 4 1, 3.325 Å, intensity 54
hkl 0 4 2, 3.059 Å, intensity 45
hkl 1 7 0, 2.854 Å, intensity 100
hkl 1 3 2, 2.671 Å, intensity 85
hkl 0 10 0, 2.500 Å, intensity 35
hkl 2 0 0, 2.370 Å, intensity 37
hkl 1 7 2, 2.213 Å, intensity 41



Record 3
La6AuBr8: calculated powder diffraction line list (a wavelength of 1.5418 Å), based on a cell relaxed with PBE.

Crystal structure
Cell lengths 7.4437, 7.4437, 32.5928 Å; angles 90.00, 90.00, 120.00 degrees
Space group R-3 (No. 148, hexagonal axes)
One atom of each set of equivalent atoms:
La 0.0000 0.3276 0.0544 x18
Au 0.0000 0.0000 0.0000 x3
Br 0.0000 0.0000 0.3333 x6
Br 0.0000 0.3327 0.8895 x18

Most intense lines, 15 to 90 degrees two-theta, low angle first:
hkl 2 -1 3, 3.521 Å, intensity 12
hkl 2 -1 6, 3.070 Å, intensity 100
hkl 2 -1 9, 2.596 Å, intensity 12
hkl 1 1 12, 2.194 Å, intensity 38
hkl 3 0 0, 2.149 Å, intensity 35
hkl 2 2 6, 1.760 Å, intensity 19
hkl 4 -2 12, 1.535 Å, intensity 12
hkl 3 0 18, 1.385 Å, intensity 17
hkl 5 -1 6, 1.362 Å, intensity 16
hkl 4 1 12, 1.249 Å, intensity 12



Record 4
LiAu2Br6: calculated powder diffraction line list (a wavelength of 1.5418 Å), based on a cell relaxed with PBE.

Crystal structure
Cell lengths 14.1786, 12.8882, 7.1067 Å; angles 90.00, 102.11, 90.00 degrees
Space group C2/c (No. 15)
One atom of each set of equivalent atoms:
Li 0.0000 0.1618 0.2500 x4
Au 0.2436 0.0808 0.3756 x8
Br 0.1322 0.1666 0.5617 x8
Br 0.1390 0.1500 0.0724 x8
Br 0.1460 0.4892 0.3156 x8

Most intense lines, 15 to 90 degrees two-theta, low angle first:
hkl 2 2 0, 4.722 Å, intensity 100
hkl 2 2 -1, 4.193 Å, intensity 36
hkl 1 3 0, 4.104 Å, intensity 67
hkl 1 3 -1, 3.634 Å, intensity 44
hkl 3 3 0, 3.146 Å, intensity 57
hkl 3 3 -1, 3.034 Å, intensity 44
hkl 3 1 2, 2.486 Å, intensity 80
hkl 5 1 -2, 2.388 Å, intensity 67
hkl 1 5 -2, 2.086 Å, intensity 34
hkl 4 6 0, 1.826 Å, intensity 52



Record 5
Li2Au3Br6: calculated powder diffraction line list (a wavelength of 1.5418 Å), based on a cell relaxed with PBE.

Crystal structure
Cell lengths 11.7842, 7.1115, 15.8782 Å; angles 90.00, 104.78, 90.00 degrees
Space group C2/c (No. 15)
One atom of each set of equivalent atoms:
Li 0.0854 0.2490 0.0089 x8
Au 0.0000 0.4753 0.2500 x4
Au 0.1264 0.1033 0.7511 x8
Br 0.0556 0.4363 0.4070 x8
Br 0.1101 0.0878 0.5951 x8
Br 0.2084 0.0760 0.9081 x8

Most intense lines, 15 to 90 degrees two-theta, low angle first:
hkl 0 2 0, 3.556 Å, intensity 21
hkl 0 2 1, 3.464 Å, intensity 54
hkl 3 1 -1, 3.438 Å, intensity 21
hkl 3 1 0, 3.355 Å, intensity 100
hkl 0 0 6, 2.559 Å, intensity 30
hkl 0 2 5, 2.323 Å, intensity 17
hkl 3 3 -1, 2.030 Å, intensity 22
hkl 0 2 7, 1.867 Å, intensity 13
hkl 3 1 -8, 1.855 Å, intensity 12
hkl 3 1 6, 1.843 Å, intensity 14



Record 6
Li2Au2Br7: calculated powder diffraction line list (a wavelength of 1.5418 Å), based on a cell relaxed with PBE.

Crystal structure
Cell lengths 9.8418, 12.1183, 12.5090 Å; angles 90.00, 104.67, 90.00 degrees
Space group C2/c (No. 15)
One atom of each set of equivalent atoms:
Li 0.1566 0.0295 0.4227 x8
Au 0.1812 0.2821 0.8048 x8
Br 0.0000 0.4262 0.7500 x4
Br 0.1079 0.0668 0.0931 x8
Br 0.1804 0.3838 0.1279 x8
Br 0.2296 0.2701 0.5953 x8

Most intense lines, 15 to 90 degrees two-theta, low angle first:
hkl 2 0 0, 4.760 Å, intensity 48
hkl 1 1 -3, 3.889 Å, intensity 100
hkl 2 2 0, 3.743 Å, intensity 65
hkl 1 3 1, 3.460 Å, intensity 34
hkl 2 2 2, 2.934 Å, intensity 34
hkl 2 0 -4, 2.908 Å, intensity 36
hkl 3 3 -1, 2.546 Å, intensity 36
hkl 3 3 1, 2.353 Å, intensity 28
hkl 4 2 -4, 2.030 Å, intensity 29
hkl 1 3 5, 1.943 Å, intensity 29



Record 7
LiAuBr2: calculated powder diffraction line list (a wavelength of 1.5418 Å), based on a cell relaxed with PBE.

Crystal structure
Cell lengths 4.6500, 6.7391, 7.1997 Å; angles 90.00, 90.00, 90.00 degrees
Space group Cmm2 (No. 35)
One atom of each set of equivalent atoms:
Li 0.0000 0.0000 0.0000 x2
Au 0.0000 0.5000 0.7703 x2
Br 0.0000 0.0000 0.6080 x2
Br 0.0000 0.5000 0.1365 x2

Most intense lines, 15 to 90 degrees two-theta, low angle first:
hkl 1 1 0, 3.827 Å, intensity 42
hkl 0 0 2, 3.600 Å, intensity 22
hkl 0 2 0, 3.374 Å, intensity 100
hkl 0 2 1, 3.052 Å, intensity 22
hkl 1 1 2, 2.622 Å, intensity 46
hkl 0 2 2, 2.460 Å, intensity 16
hkl 2 0 0, 2.325 Å, intensity 21
hkl 1 1 3, 2.033 Å, intensity 51
hkl 2 2 0, 1.914 Å, intensity 23
hkl 1 3 3, 1.547 Å, intensity 21



Record 8
LiAuBr: calculated powder diffraction line list (a wavelength of 1.5418 Å), based on a cell relaxed with PBE.

Crystal structure
Cell lengths 3.1925, 3.1925, 7.0592 Å; angles 90.00, 90.00, 120.00 degrees
Space group P3m1 (No. 156)
One atom of each set of equivalent atoms:
Li 0.0000 0.0000 0.0000 x1
Au 0.6667 0.3333 0.2951 x1
Br 0.3333 0.6667 0.7596 x1

Most intense lines, 15 to 90 degrees two-theta, low angle first:
hkl 0 0 2, 3.530 Å, intensity 45
hkl 1 0 0, 2.765 Å, intensity 28
hkl 1 0 1, 2.574 Å, intensity 100
hkl 0 1 2, 2.177 Å, intensity 33
hkl 1 0 3, 1.792 Å, intensity 32
hkl 1 1 0, 1.596 Å, intensity 15
hkl 0 1 4, 1.488 Å, intensity 11
hkl 1 1 2, 1.454 Å, intensity 20
hkl 0 2 1, 1.357 Å, intensity 14
hkl 1 1 4, 1.184 Å, intensity 10



Record 9
LiAuBr2: calculated powder diffraction line list (a wavelength of 1.5418 Å), based on a cell relaxed with PBE.

Crystal structure
Cell lengths 6.6020, 4.5983, 7.6521 Å; angles 90.00, 90.00, 90.00 degrees
Space group Amm2 (No. 38)
One atom of each set of equivalent atoms:
Li 0.0000 0.0000 0.0000 x2
Au 0.5000 0.0000 0.3473 x2
Br 0.0000 0.0000 0.3378 x2
Br 0.5000 0.0000 0.9970 x2

Most intense lines, 15 to 90 degrees two-theta, low angle first:
hkl 0 1 1, 3.941 Å, intensity 100
hkl 0 0 2, 3.826 Å, intensity 56
hkl 2 0 0, 3.303 Å, intensity 93
hkl 2 1 1, 2.531 Å, intensity 64
hkl 2 0 2, 2.499 Å, intensity 37
hkl 0 2 0, 2.299 Å, intensity 28
hkl 0 1 3, 2.231 Å, intensity 51
hkl 1 1 3, 2.113 Å, intensity 24
hkl 2 2 0, 1.887 Å, intensity 38
hkl 2 1 3, 1.848 Å, intensity 57



Record 10
Li2AuBr4: calculated powder diffraction line list (a wavelength of 1.5418 Å), based on a cell relaxed with PBE.

Crystal structure
Cell lengths 7.1865, 7.1865, 15.1454 Å; angles 90.00, 90.00, 90.00 degrees
Space group I4_1/a (No. 88, origin choice 2)
One atom of each set of equivalent atoms:
Li 0.0000 0.0000 0.0000 x8
Au 0.0000 0.2500 0.6250 x4
Br 0.2055 0.4604 0.8620 x16

Most intense lines, 15 to 90 degrees two-theta, low angle first:
hkl 1 1 2, 4.220 Å, intensity 62
hkl 1 0 3, 4.131 Å, intensity 31
hkl 0 0 4, 3.786 Å, intensity 100
hkl 1 2 1, 3.144 Å, intensity 67
hkl 1 2 3, 2.711 Å, intensity 46
hkl 2 2 0, 2.541 Å, intensity 52
hkl 3 1 2, 2.177 Å, intensity 48
hkl 2 2 4, 2.110 Å, intensity 63
hkl 4 0 0, 1.796 Å, intensity 29
hkl 3 1 6, 1.689 Å, intensity 21



Record 11
Li2AuBr4: calculated powder diffraction line list (a wavelength of 1.5418 Å), based on a cell relaxed with PBE.

Crystal structure
Cell lengths 6.7420, 6.7420, 8.3794 Å; angles 90.00, 90.00, 90.00 degrees
Space group I-42m (No. 121)
One atom of each set of equivalent atoms:
Li 0.0000 0.5000 0.2500 x4
Au 0.0000 0.0000 0.0000 x2
Br 0.2451 0.2451 0.6075 x8

Most intense lines, 15 to 90 degrees two-theta, low angle first:
hkl 1 0 1, 5.253 Å, intensity 81
hkl 1 1 0, 4.767 Å, intensity 32
hkl 0 0 2, 4.190 Å, intensity 23
hkl 1 1 2, 3.147 Å, intensity 100
hkl 2 1 1, 2.837 Å, intensity 44
hkl 1 0 3, 2.580 Å, intensity 16
hkl 2 2 0, 2.384 Å, intensity 45
hkl 3 1 2, 1.900 Å, intensity 46
hkl 2 0 4, 1.779 Å, intensity 33
hkl 4 2 4, 1.224 Å, intensity 19



Record 12
LiNiAuBr2: calculated powder diffraction line list (a wavelength of 1.5418 Å), based on a cell relaxed with PBE.

Crystal structure
Cell lengths 4.8262, 4.8262, 4.8210 Å; angles 90.00, 90.00, 90.00 degrees
Space group P4/mmm (No. 123)
One atom of each set of equivalent atoms:
Li 0.0000 0.0000 0.0000 x1
Ni 0.5000 0.5000 0.5000 x1
Au 0.0000 0.0000 0.5000 x1
Br 0.0000 0.5000 0.0000 x2

Most intense lines, 15 to 90 degrees two-theta, low angle first:
hkl 1 0 0, 4.825 Å, intensity 24
hkl 1 0 1, 3.411 Å, intensity 20
hkl 1 1 1, 2.785 Å, intensity 100
hkl 2 0 0, 2.412 Å, intensity 53
hkl 2 1 0, 2.158 Å, intensity 13
hkl 2 1 1, 1.970 Å, intensity 9
hkl 2 2 0, 1.706 Å, intensity 36
hkl 3 1 1, 1.455 Å, intensity 40
hkl 2 2 2, 1.393 Å, intensity 12
hkl 3 3 1, 1.107 Å, intensity 18